1.
Theoretical powder diffractogram of RbIn3Pb for Cu Kα (λ = 1.5418 Å), from a crystal structure in Alexandria, relaxed with PBE.

Most intense lines, 10 to 90 degrees two-theta, in order of falling intensity:
| d (Å) | I (rel.) |
| --- | --- |
| 3.162 | 100 |
| 2.529 | 56 |
| 2.458 | 53 |
| 2.812 | 35 |
| 6.768 | 27 |
| 1.556 | 25 |
| 1.880 | 21 |
| 1.446 | 20 |
| 1.788 | 20 |
| 5.057 | 17 |
| 1.406 | 15 |
| 1.684 | 11 |

Crystal structure
```
RbIn3Pb
1.0
13.535 0.000 0.000
0.000 7.153 0.000
0.000 0.000 7.152
Rb In Pb
4 12 4
Cartesian
3.384 0.000 0.004 Rb
3.384 3.576 3.571 Rb
10.151 0.000 7.147 Rb
10.151 3.576 3.580 Rb
0.005 1.788 1.788 In
13.530 5.364 5.364 In
1.873 7.152 3.582 In
1.873 3.577 7.146 In
4.894 0.001 3.582 In
4.894 3.576 7.146 In
6.772 1.788 5.364 In
6.763 5.364 1.788 In
8.641 7.152 3.570 In
8.641 3.577 0.006 In
11.662 0.001 3.570 In
11.662 3.576 0.006 In
13.531 1.788 5.364 Pb
0.004 5.364 1.788 Pb
6.763 1.788 1.788 Pb
6.772 5.364 5.364 Pb
```

2.
Theoretical powder diffractogram of CsNp2O7 for Cu Kα (λ = 1.5418 Å), from a crystal structure in Alexandria, relaxed with PBE.

Most intense lines, 10 to 90 degrees two-theta, in order of falling intensity:
| d (Å) | I (rel.) |
| --- | --- |
| 3.564 | 100 |
| 4.284 | 79 |
| 3.393 | 59 |
| 6.736 | 49 |
| 3.368 | 46 |
| 2.640 | 44 |
| 2.305 | 40 |
| 4.195 | 36 |
| 2.023 | 25 |
| 3.340 | 23 |
| 1.784 | 20 |
| 2.098 | 19 |

Crystal structure
```
CsNp2O7
1.0
6.953 0.000 0.000
0.000 4.195 0.000
-1.740 0.000 6.799
Cs Np O
1 2 7
Cartesian
0.000 0.000 0.000 Cs
1.495 2.098 4.716 Np
3.718 2.098 2.083 Np
-0.335 2.098 4.910 O
1.814 2.098 2.377 O
1.490 0.000 4.733 O
3.476 2.098 0.000 O
3.723 0.000 2.066 O
3.400 2.098 4.422 O
5.548 2.098 1.889 O
```

3.
Theoretical powder diffractogram of Pm3Ge4Pt7 for Cu Kα (λ = 1.5418 Å), from a crystal structure in Alexandria, relaxed with PBE.

Most intense lines, 10 to 90 degrees two-theta, in order of falling intensity:
| d (Å) | I (rel.) |
| --- | --- |
| 2.582 | 100 |
| 2.518 | 70 |
| 2.077 | 63 |
| 2.164 | 39 |
| 2.348 | 27 |
| 1.499 | 24 |
| 2.550 | 24 |
| 2.454 | 23 |
| 1.406 | 23 |
| 2.423 | 22 |
| 3.047 | 22 |
| 2.493 | 17 |

Crystal structure
```
Pm3Ge4Pt7
1.0
7.948 -2.077 0.000
7.948 2.077 0.000
-5.597 0.000 7.922
Pm Ge Pt
3 4 7
Cartesian
0.000 0.000 0.000 Pm
3.358 0.000 2.623 Pm
6.942 0.000 5.299 Pm
-2.855 0.000 6.539 Ge
1.194 0.000 5.763 Ge
9.106 0.000 2.159 Ge
13.154 0.000 1.383 Ge
-2.798 0.000 3.961 Pt
0.269 0.000 3.342 Pt
-0.499 0.000 7.626 Pt
3.721 0.000 5.770 Pt
6.578 0.000 2.152 Pt
10.799 0.000 0.296 Pt
10.030 0.000 4.580 Pt
```

4.
Theoretical powder diffractogram of Tl2GeSbO4 for Cu Kα (λ = 1.5418 Å), from a crystal structure in Alexandria, relaxed with PBE.

Most intense lines, 10 to 90 degrees two-theta, in order of falling intensity:
| d (Å) | I (rel.) |
| --- | --- |
| 3.264 | 100 |
| 2.805 | 71 |
| 3.358 | 53 |
| 2.553 | 32 |
| 1.595 | 23 |
| 2.032 | 22 |
| 2.237 | 21 |
| 1.683 | 19 |
| 2.435 | 18 |
| 1.580 | 13 |
| 1.518 | 13 |
| 8.488 | 12 |

Crystal structure
```
Tl2GeSbO4
1.0
7.312 0.000 0.000
0.000 8.488 0.000
0.000 0.000 5.106
Tl Ge Sb O
4 2 2 8
Cartesian
1.694 1.156 0.000 Tl
1.962 7.332 2.553 Tl
5.350 7.332 2.553 Tl
5.618 1.156 0.000 Tl
0.000 3.457 2.460 Ge
3.656 5.031 5.013 Ge
0.000 5.734 0.046 Sb
3.656 2.754 2.600 Sb
0.000 3.817 0.687 O
0.000 5.087 3.224 O
1.463 2.518 2.811 O
2.193 5.969 0.258 O
3.656 3.401 0.671 O
3.656 4.670 3.241 O
5.119 5.969 0.258 O
5.849 2.518 2.811 O
```